No. 1
Calculated powder XRD pattern of Pm4Tl3Pb for λ = 1.5418 Å (Cu Kα), from a cell relaxed with GGA-PBE.

Cell: 11.162 7.394 5.666 Å, 90.00 90.00 90.00°
Positions (direct):
Pm: 0.000 0.248 0.000
Pm: 0.000 0.752 0.000
Pm: 0.250 0.249 0.437
Pm: 0.250 0.751 0.437
Pm: 0.500 0.248 0.000
Pm: 0.500 0.752 0.000
Pm: 0.750 0.249 0.563
Pm: 0.750 0.751 0.563
Tl: 0.000 0.000 0.500
Tl: 0.250 0.000 0.926
Tl: 0.250 0.500 0.931
Tl: 0.500 0.000 0.500
Tl: 0.750 0.000 0.074
Tl: 0.750 0.500 0.069
Pb: 0.000 0.500 0.500
Pb: 0.500 0.500 0.500

Top 10 peaks for 15 to 90 degrees two-theta, in order of rising 2θ:
- 2.833 Å, 2θ 31.58, I 21
- 2.791 Å, 2θ 32.07, I 30
- 2.746 Å, 2θ 32.61, I 8
- 2.708 Å, 2θ 33.09, I 100
- 1.988 Å, 2θ 45.63, I 16
- 1.849 Å, 2θ 49.30, I 9
- 1.610 Å, 2θ 57.20, I 10
- 1.595 Å, 2θ 57.82, I 21
- 1.541 Å, 2θ 60.03, I 10
- 1.354 Å, 2θ 69.42, I 9

***

No. 2
Calculated powder XRD pattern of Ce5HoRh4 for λ = 1.5418 Å (Cu Kα), from a cell relaxed with GGA-PBE.

Cell: 8.529 8.529 7.524 Å, 104.59 104.59 28.33°
Positions (direct):
Ce: 0.000 0.000 0.000
Ce: 0.311 0.311 0.101
Ce: 0.339 0.339 0.630
Ce: 0.661 0.661 0.370
Ce: 0.689 0.689 0.899
Ho: 0.000 0.000 0.500
Rh: 0.179 0.179 0.645
Rh: 0.489 0.489 0.233
Rh: 0.511 0.511 0.767
Rh: 0.821 0.821 0.355

Top 10 peaks for 15 to 90 degrees two-theta, in order of rising 2θ:
- 3.285 Å, 2θ 27.15, I 21
- 2.793 Å, 2θ 32.04, I 100
- 2.661 Å, 2θ 33.69, I 60
- 2.263 Å, 2θ 39.84, I 23
- 2.254 Å, 2θ 39.99, I 15
- 2.087 Å, 2θ 43.36, I 28
- 1.951 Å, 2θ 46.54, I 39
- 1.904 Å, 2θ 47.78, I 18
- 1.844 Å, 2θ 49.44, I 10
- 1.642 Å, 2θ 55.99, I 20

***

No. 3
Calculated powder XRD pattern of Tb5Pm4Nd3 for λ = 1.5418 Å (Cu Kα), from a cell relaxed with GGA-PBE.

Cell: 6.271 7.237 8.871 Å, 90.02 90.12 90.10°
Positions (direct):
Tb: 0.000 0.000 0.000
Tb: 0.334 0.500 0.332
Tb: 0.500 0.250 0.000
Tb: 0.500 0.750 0.000
Tb: 0.666 0.500 0.668
Pm: 0.168 0.750 0.668
Pm: 0.332 0.000 0.331
Pm: 0.668 0.000 0.669
Pm: 0.832 0.250 0.332
Nd: 0.000 0.500 0.000
Nd: 0.168 0.250 0.667
Nd: 0.832 0.750 0.333

Top 10 peaks for 15 to 90 degrees two-theta, in order of rising 2θ:
- 2.956 Å, 2θ 30.24, I 100
- 2.560 Å, 2θ 35.05, I 51
- 1.810 Å, 2θ 50.41, I 36
- 1.544 Å, 2θ 59.89, I 29
- 1.542 Å, 2θ 59.98, I 14
- 1.478 Å, 2θ 62.88, I 12
- 1.175 Å, 2θ 81.98, I 7
- 1.174 Å, 2θ 82.09, I 9
- 1.146 Å, 2θ 84.56, I 6
- 1.145 Å, 2θ 84.67, I 7

***

Q: Which formula does entry 3 have?
A: Tb5Pm4Nd3